YFeCl2O3: simulated X-ray diffraction stick pattern (Cu Kα (weighted mean of Kα1 and Kα2)), based on DFT lattice parameters and positions (GGA+U).
Peak positions follow from Bragg's law for the DFT cell and can differ from measured ones.

Atomic structure:
```
YFeCl2O3
1.0
8.8571 -1.7409 0.0000
8.8571 1.7409 0.0000
-6.8174 0.0000 8.6555
Y Fe Cl O
2 2 4 6
direct
0.1140 0.1140 0.3640
0.8860 0.8860 0.6360
0.5000 0.5000 0.0000
0.5000 0.5000 0.5000
0.0782 0.0782 0.6998
0.1238 0.1238 0.0991
0.8762 0.8762 0.9009
0.9218 0.9218 0.3002
0.2721 0.2721 0.5822
0.4045 0.4045 0.5146
0.4727 0.4727 0.8143
0.5273 0.5273 0.1857
0.5955 0.5955 0.4854
0.7279 0.7279 0.4178
```

Peak list (10 most intense, 2θ from 10° to 90°, by intensity)
8.637 Å, 2θ = 10.24°, I 100
6.958 Å, 2θ = 12.72°, I 67
2.375 Å, 2θ = 37.88°, I 35
2.880 Å, 2θ = 31.05°, I 31
2.174 Å, 2θ = 41.54°, I 30
2.785 Å, 2θ = 32.14°, I 25
3.553 Å, 2θ = 25.06°, I 21
1.741 Å, 2θ = 52.58°, I 15
4.315 Å, 2θ = 20.58°, I 14
1.710 Å, 2θ = 53.60°, I 14